# 1
Li3Mn5O8: computed XRD peak list (Cu Kα), based on a cell relaxed with GGA+U.

Structural model:
```
Li3Mn5O8
1.0
3.0450 1.7580 4.9789
-3.0450 1.7580 4.9789
0.0000 -3.5160 4.9789
Li Mn O
3 5 8
direct
0.0000 0.5000 0.5000 Li
0.5000 0.0000 0.5000 Li
0.5000 0.5000 0.0000 Li
0.0000 0.0000 0.0000 Mn
0.0000 0.0000 0.5000 Mn
0.0000 0.5000 0.0000 Mn
0.5000 0.0000 0.0000 Mn
0.5000 0.5000 0.5000 Mn
0.2336 0.2336 0.2336 O
0.2503 0.2503 0.7493 O
0.2503 0.7493 0.2503 O
0.2507 0.7497 0.7497 O
0.7493 0.2503 0.2503 O
0.7497 0.2507 0.7497 O
0.7497 0.7497 0.2507 O
0.7664 0.7664 0.7664 O
```

The 12 most intense peaks (5° ≤ 2θ ≤ 70°), in order of falling intensity:
d [Å], 2θ (°), I/Imax
2.154, 41.9, 100
4.977, 17.8, 65
1.523, 60.8, 55
2.487, 36.1, 32
2.597, 34.5, 30
1.977, 45.9, 11
1.659, 55.4, 11
4.308, 20.6, 10
1.456, 63.9, 10
3.046, 29.3, 8
1.927, 47.2, 5
1.759, 52.0, 3

# 2
Li5Mn6O12: computed XRD peak list (Cu Kα), based on a cell relaxed with GGA+U.

Structural model:
```
Li5Mn6O12
1.0
6.1299 0.0000 0.0000
-2.4049 6.0881 0.0000
-1.5472 -1.6049 6.1742
Li Mn O
5 6 12
direct
0.0000 0.0000 0.0000 Li
0.0108 0.3447 0.3386 Li
0.5036 0.3498 0.3447 Li
0.5146 0.9963 0.9896 Li
0.9680 0.6568 0.6687 Li
0.2583 0.5105 0.9976 Mn
0.2631 0.1818 0.6675 Mn
0.2650 0.8442 0.3358 Mn
0.7572 0.8370 0.3443 Mn
0.7590 0.1705 0.6719 Mn
0.7587 0.5086 0.0060 Mn
0.0912 0.3878 0.6805 O
0.1505 0.7565 0.0136 O
0.1588 0.0920 0.3520 O
0.3618 0.5938 0.3104 O
0.3711 0.2683 0.9838 O
0.4195 0.9669 0.6559 O
0.6551 0.7550 0.0311 O
0.6557 0.4129 0.6865 O
0.6566 0.0896 0.3594 O
0.8598 0.2556 0.9854 O
0.8761 0.5973 0.3282 O
0.8873 0.9398 0.6594 O
```

The 12 most intense peaks (5° ≤ 2θ ≤ 70°), in order of falling intensity:
d [Å], 2θ (°), I/Imax
4.926, 18.0, 100
2.280, 39.5, 31
2.058, 44.0, 22
2.045, 44.3, 22
2.708, 33.1, 19
1.522, 60.8, 14
2.471, 36.4, 11
2.489, 36.1, 11
1.535, 60.3, 7
1.521, 60.9, 7
1.432, 65.1, 6
1.470, 63.3, 6

# 3
Li4Mn3O7: computed XRD peak list (Cu Kα), based on a cell relaxed with GGA+U.

Structural model:
```
Li4Mn3O7
1.0
2.9993 0.0000 0.0000
1.4766 6.3035 0.0000
0.3760 1.2591 13.6661
Li Mn O
8 6 14
direct
0.0000 0.0000 0.0000 Li
0.0000 0.5000 0.5000 Li
0.1233 0.4306 0.2946 Li
0.2777 0.8399 0.5747 Li
0.4201 0.2891 0.8594 Li
0.5799 0.7109 0.1406 Li
0.7223 0.1601 0.4253 Li
0.8767 0.5694 0.7054 Li
0.1584 0.9266 0.7822 Mn
0.2831 0.3553 0.0719 Mn
0.4240 0.7757 0.3630 Mn
0.5760 0.2243 0.6370 Mn
0.7169 0.6447 0.9281 Mn
0.8416 0.0734 0.2178 Mn
0.0488 0.2341 0.7370 O
0.1111 0.1817 0.5503 O
0.1158 0.6653 0.0361 O
0.2542 0.0929 0.3210 O
0.3132 0.6198 0.8239 O
0.4306 0.5134 0.6116 O
0.4499 0.0461 0.1100 O
0.5501 0.9539 0.8900 O
0.5694 0.4866 0.3884 O
0.6868 0.3802 0.1761 O
0.7458 0.9071 0.6790 O
0.8842 0.3347 0.9639 O
0.8889 0.8183 0.4497 O
0.9512 0.7659 0.2630 O
```

The 12 most intense peaks (5° ≤ 2θ ≤ 70°), in order of falling intensity:
d [Å], 2θ (°), I/Imax
4.850, 18.3, 100
2.042, 44.4, 55
2.214, 40.8, 36
2.633, 34.0, 18
1.509, 61.5, 17
13.666, 6.5, 15
2.480, 36.2, 12
2.465, 36.5, 12
2.427, 37.0, 10
1.451, 64.2, 9
1.495, 62.1, 8
1.491, 62.3, 8

# 4
Li2Mn7O12: computed XRD peak list (Cu Kα), based on a cell relaxed with GGA+U.

Structural model:
```
Li2Mn7O12
1.0
5.2289 0.0000 0.0000
0.0000 9.0112 0.0000
-2.0432 0.0000 9.7977
Li Mn O
4 14 24
direct
0.0073 0.0000 0.2692 Li
0.2473 0.1697 0.5010 Li
0.7527 0.6697 0.4990 Li
0.9927 0.5000 0.7308 Li
0.0054 0.3457 0.2572 Mn
0.2437 0.6719 0.9895 Mn
0.2568 0.3366 0.0066 Mn
0.2573 0.5123 0.4965 Mn
0.2587 0.8333 0.5112 Mn
0.2613 0.0051 0.0140 Mn
0.4983 0.3300 0.7370 Mn
0.5017 0.8300 0.2630 Mn
0.7387 0.5051 0.9860 Mn
0.7413 0.3333 0.4888 Mn
0.7427 0.0123 0.5035 Mn
0.7432 0.8366 0.9934 Mn
0.7563 0.1719 0.0105 Mn
0.9946 0.8457 0.7428 Mn
0.0976 0.9839 0.6117 O
0.1078 0.5064 0.0851 O
0.1093 0.1963 0.1230 O
0.1297 0.6702 0.6051 O
0.1628 0.3594 0.6173 O
0.1638 0.8511 0.1306 O
0.3337 0.8316 0.8788 O
0.3413 0.3597 0.3779 O
0.3752 0.6849 0.3988 O
0.3768 0.4731 0.8816 O
0.3804 0.9862 0.3991 O
0.3883 0.1701 0.9142 O
0.6117 0.6701 0.0858 O
0.6196 0.4862 0.6009 O
0.6232 0.9731 0.1184 O
0.6248 0.1849 0.6012 O
0.6587 0.8597 0.6221 O
0.6663 0.3316 0.1212 O
0.8362 0.3511 0.8694 O
0.8372 0.8594 0.3827 O
0.8703 0.1702 0.3949 O
0.8907 0.6963 0.8770 O
0.8922 0.0064 0.9149 O
0.9024 0.4839 0.3883 O
```

The 12 most intense peaks (5° ≤ 2θ ≤ 70°), in order of falling intensity:
d [Å], 2θ (°), I/Imax
2.140, 42.2, 100
4.899, 18.1, 65
2.099, 43.1, 47
3.806, 23.4, 41
4.506, 19.7, 32
1.507, 61.5, 27
4.354, 20.4, 25
1.490, 62.3, 23
2.443, 36.8, 22
2.889, 31.0, 15
1.502, 61.8, 13
3.316, 26.9, 13

# 5
Li8Mn5O10: computed XRD peak list (Cu Kα), based on a cell relaxed with GGA+U.

Structural model:
```
Li8Mn5O10
1.0
5.2271 0.0000 0.0000
-0.1650 5.4894 0.0000
-0.4019 -2.2729 8.0935
Li Mn O
8 5 10
direct
0.0000 0.0000 0.0000 Li
0.0050 0.8301 0.6298 Li
0.0199 0.6605 0.2092 Li
0.0278 0.4613 0.8184 Li
0.7681 0.5820 0.4119 Li
0.7771 0.1715 0.6089 Li
0.7835 0.3573 0.0126 Li
0.9918 0.2203 0.3720 Li
0.3941 0.9039 0.4104 Mn
0.4044 0.5096 0.6098 Mn
0.4057 0.2926 0.2033 Mn
0.4125 0.0903 0.8056 Mn
0.4452 0.7083 0.0092 Mn
0.1366 0.5837 0.4184 O
0.1588 0.3780 0.0310 O
0.1601 0.1746 0.6364 O
0.1870 0.9925 0.2093 O
0.1956 0.7880 0.8170 O
0.6180 0.2517 0.4037 O
0.6247 0.0466 0.9937 O
0.6330 0.5860 0.1990 O
0.6337 0.3926 0.8052 O
0.6395 0.8366 0.5936 O
```

The 12 most intense peaks (5° ≤ 2θ ≤ 70°), in order of falling intensity:
d [Å], 2θ (°), I/Imax
5.216, 17.0, 100
2.580, 34.8, 39
2.400, 37.5, 27
2.377, 37.9, 26
1.916, 47.5, 15
1.993, 45.5, 14
2.861, 31.3, 14
1.850, 49.3, 14
1.865, 48.8, 13
2.445, 36.8, 11
1.632, 56.4, 10
1.619, 56.9, 10

# 6
LiMn3O6: computed XRD peak list (Cu Kα), based on a cell relaxed with GGA+U.

Structural model:
```
LiMn3O6
1.0
4.4774 -2.5179 0.0000
4.4774 2.5179 0.0000
-3.5406 0.0000 10.1673
Li Mn O
2 6 12
direct
0.0754 0.9246 0.5000 Li
0.9246 0.0754 0.0000 Li
0.0026 0.8528 0.2363 Mn
0.1893 0.3434 0.7504 Mn
0.3434 0.1893 0.2504 Mn
0.5170 0.6753 0.7462 Mn
0.6753 0.5170 0.2462 Mn
0.8528 0.0026 0.7363 Mn
0.0108 0.2150 0.3482 O
0.1523 0.6653 0.6361 O
0.2150 0.0108 0.8482 O
0.2988 0.8213 0.1481 O
0.3720 0.5690 0.3394 O
0.4704 0.9671 0.6486 O
0.5690 0.3720 0.8394 O
0.6653 0.1523 0.1361 O
0.7278 0.8848 0.3400 O
0.8213 0.2988 0.6481 O
0.8848 0.7278 0.8400 O
0.9671 0.4704 0.1486 O
```

The 12 most intense peaks (5° ≤ 2θ ≤ 70°), in order of falling intensity:
d [Å], 2θ (°), I/Imax
5.084, 17.4, 100
2.516, 35.7, 13
2.093, 43.2, 12
2.460, 36.5, 11
2.001, 45.3, 11
2.021, 44.8, 10
2.444, 36.8, 8
1.463, 63.6, 8
2.256, 40.0, 6
1.631, 56.4, 6
2.334, 38.6, 6
2.248, 40.1, 6